The following is a computed powder diffraction line list of K2LiNiCl6. It was derived from a DFT-relaxed cell (PBE, Alexandria), using Cu Kα.

Top 10 peaks for 10 to 80 degrees two-theta, most intense first:
32.61 deg, rel. 1000; 34.97 deg, rel. 878; 15.69 deg, rel. 735; 53.24 deg, rel. 478; 30.37 deg, rel. 408; 15.05 deg, rel. 371; 39.57 deg, rel. 359; 17.96 deg, rel. 308; 30.09 deg, rel. 226; 25.89 deg, rel. 214

Unit cell a=6.8817 b=6.8817 c=35.3267 alpha=90.00 beta=90.00 gamma=120.00
Space group R-3m (No. 166, hexagonal axes)
Unique sites:
1 K 0.0000 0.0000 0.1224
2 K 0.0000 0.0000 0.2996
3 Li 0.0000 0.0000 0.4152
4 Ni 0.0000 0.0000 0.0000
5 Ni 0.0000 0.0000 0.5000
6 Cl 0.0151 0.5075 0.7055
7 Cl 0.0188 0.5094 0.1288



The following is a computed powder diffraction line list of KLi2PbCl8. It was derived from a DFT-relaxed cell (PBE, Alexandria), using Cu Kα.

Top 10 peaks for 10 to 80 degrees two-theta, most intense first:
10.00 deg, rel. 1000; 16.11 deg, rel. 485; 13.78 deg, rel. 478; 21.50 deg, rel. 445; 26.95 deg, rel. 399; 31.36 deg, rel. 394; 16.58 deg, rel. 388; 21.00 deg, rel. 380; 20.08 deg, rel. 359; 17.53 deg, rel. 319

Unit cell a=5.6713 b=6.4363 c=9.1257 alpha=93.12 beta=103.93 gamma=90.50
Space group P-1 (No. 2)
Unique sites:
1 K 0.0000 0.0000 0.0000
2 Li 0.4630 0.4655 0.2938
3 Pb 0.0000 0.0000 0.5000
4 Cl 0.1750 0.8040 0.3048
5 Cl 0.2582 0.3363 0.4899
6 Cl 0.2634 0.4915 0.0183
7 Cl 0.3131 0.8637 0.7329



The following is a computed powder diffraction line list of KLiPmCl5. It was derived from a DFT-relaxed cell (PBE, Alexandria), using Cu Kα.

Top 10 peaks for 10 to 80 degrees two-theta, most intense first:
13.06 deg, rel. 1000; 19.18 deg, rel. 789; 14.58 deg, rel. 370; 24.05 deg, rel. 360; 21.75 deg, rel. 282; 45.89 deg, rel. 208; 33.72 deg, rel. 206; 24.53 deg, rel. 203; 31.57 deg, rel. 193; 37.32 deg, rel. 191

Unit cell a=8.9164 b=12.1503 c=10.1839 alpha=90.00 beta=113.59 gamma=90.00
Space group C2/c (No. 15)
Unique sites:
1 K 0.0000 0.1504 0.2500
2 Li 0.0000 0.1894 0.7500
3 Pm 0.0000 0.5000 0.0000
4 Cl 0.0000 0.4133 0.2500
5 Cl 0.1147 0.3005 0.6191
6 Cl 0.1843 0.0643 0.9244



The following is a computed powder diffraction line list of K2LiPuCl5. It was derived from a DFT-relaxed cell (PBE, Alexandria), using Cu Kα.

Top 10 peaks for 10 to 80 degrees two-theta, most intense first:
29.27 deg, rel. 1000; 16.15 deg, rel. 587; 12.83 deg, rel. 567; 22.74 deg, rel. 500; 35.27 deg, rel. 474; 30.33 deg, rel. 441; 20.66 deg, rel. 434; 11.69 deg, rel. 332; 43.20 deg, rel. 317; 42.13 deg, rel. 246

Unit cell a=4.1855 b=18.1018 c=13.7985 alpha=90.00 beta=90.00 gamma=90.00
Space group Cmc2_1 (No. 36)
Unique sites:
1 K 0.0000 0.0940 0.0000
2 K 0.0000 0.1267 0.6620
3 Li 0.0000 0.4466 0.7594
4 Pu 0.0000 0.2031 0.3641
5 Cl 0.0000 0.0450 0.3454
6 Cl 0.0000 0.2871 0.0040
7 Cl 0.0000 0.3116 0.7231
8 Cl 0.0000 0.3565 0.3374
9 Cl 0.0000 0.4971 0.1092



The following is a computed powder diffraction line list of K2Li2SmCl6. It was derived from a DFT-relaxed cell (PBE, Alexandria), using Cu Kα.

Top 10 peaks for 10 to 80 degrees two-theta, most intense first:
19.19 deg, rel. 1000; 35.77 deg, rel. 738; 28.73 deg, rel. 384; 12.00 deg, rel. 322; 32.52 deg, rel. 309; 45.87 deg, rel. 289; 42.10 deg, rel. 282; 14.93 deg, rel. 191; 39.68 deg, rel. 180; 28.49 deg, rel. 149

Unit cell a=6.8537 b=6.8537 c=7.3759 alpha=90.00 beta=90.00 gamma=120.00
Space group P-31m (No. 162)
Unique sites:
1 K 0.3333 0.6667 0.0000
2 Li 0.3333 0.6667 0.5000
3 Sm 0.0000 0.0000 0.5000
4 Cl 0.0000 0.3516 0.3011



The following is a computed powder diffraction line list of KLiTlCl6. It was derived from a DFT-relaxed cell (PBE, Alexandria), using Cu Kα.

Top 10 peaks for 10 to 80 degrees two-theta, most intense first:
12.59 deg, rel. 1000; 19.17 deg, rel. 697; 15.58 deg, rel. 610; 14.37 deg, rel. 577; 15.15 deg, rel. 549; 19.64 deg, rel. 536; 18.65 deg, rel. 530; 20.17 deg, rel. 506; 31.09 deg, rel. 444; 28.32 deg, rel. 425

Unit cell a=6.5441 b=6.9000 c=7.0619 alpha=85.44 beta=85.72 gamma=63.41
Space group P1 (No. 1)
Unique sites:
1 K 0.0000 0.0000 0.0000
2 Li 0.7139 0.6409 0.4817
3 Tl 0.3441 0.2649 0.4446
4 Cl 0.0380 0.5778 0.2462
5 Cl 0.0725 0.3672 0.7234
6 Cl 0.4111 0.9422 0.2639
7 Cl 0.4590 0.6931 0.7715
8 Cl 0.6656 0.9451 0.6983
9 Cl 0.6811 0.3317 0.3379